(1)
Diffraction record for Ba2CaTl5. The powder X-ray diffraction pattern is computed, not measured: it uses a cell relaxed with GGA-PBE and copper Kα.

```
data_Ba2CaTl5
_chemical_formula_sum 'Ba4 Ca2 Tl10'
_symmetry_space_group_name_H-M 'I 4/m m m'
_symmetry_Int_Tables_number 139
_symmetry_space_group_name_Hall '-I 4 2'
_cell_length_a 5.762
_cell_length_b 5.762
_cell_length_c 16.278
_cell_angle_alpha 90.00
_cell_angle_beta 90.00
_cell_angle_gamma 90.00
loop_
_atom_site_label
_atom_site_fract_x
_atom_site_fract_y
_atom_site_fract_z
_atom_site_occupancy
Ba1 0.000 0.000 0.240 1
Ca1 0.000 0.000 0.500 1
Tl1 0.000 0.000 0.000 1
Tl2 0.000 0.500 0.107 1
```

Largest 6 diffraction maxima, by intensity, 2θ from 10° to 80°:
- 31.05 deg, rel. 100.0, hkl 2 0 0
- 55.25 deg, rel. 33.3, hkl 3 1 4
- 44.49 deg, rel. 17.5, hkl 2 2 0
- 73.52 deg, rel. 13.1, hkl 4 2 0
- 64.74 deg, rel. 9.5, hkl 4 0 0
- 61.31 deg, rel. 6.1, hkl 1 1 10

=====

(2)
Diffraction record for LiMg6Sn. The powder X-ray diffraction pattern is computed, not measured: it uses a cell relaxed with GGA-PBE and copper Kα.

```
data_LiMg6Sn
_chemical_formula_sum 'Li1 Mg6 Sn1'
_symmetry_space_group_name_H-M 'P -6 m 2'
_symmetry_Int_Tables_number 187
_symmetry_space_group_name_Hall 'P -6 2'
_cell_length_a 6.4202
_cell_length_b 6.4202
_cell_length_c 5.0380
_cell_angle_alpha 90.00
_cell_angle_beta 90.00
_cell_angle_gamma 120.00
loop_
_atom_site_label
_atom_site_fract_x
_atom_site_fract_y
_atom_site_fract_z
_atom_site_occupancy
Li1 0.0000 0.0000 0.0000 1
Mg1 0.0062 0.5031 0.0000 1
Mg2 0.1624 0.3247 0.5000 1
Sn1 0.6667 0.3333 0.5000 1
```

Largest 6 diffraction maxima, by intensity, 2θ from 10° to 80°:
- 36.93 deg, rel. 100.0, hkl 2 0 1
- 15.94 deg, rel. 67.7, hkl 1 0 0
- 23.83 deg, rel. 38.7, hkl 1 0 1
- 32.20 deg, rel. 34.6, hkl 2 0 0
- 33.09 deg, rel. 29.1, hkl 1 1 1
- 35.64 deg, rel. 23.2, hkl 0 0 2

=====

(3)
Diffraction record for SrTbAl2Ga2. The powder X-ray diffraction pattern is computed, not measured: it uses a cell relaxed with GGA-PBE and copper Kα.

```
data_SrTbAl2Ga2
_chemical_formula_sum 'Sr1 Tb1 Al2 Ga2'
_symmetry_space_group_name_H-M 'P -3 m 1'
_symmetry_Int_Tables_number 164
_symmetry_space_group_name_Hall '-P 3 2"'
_cell_length_a 4.4151
_cell_length_b 4.4151
_cell_length_c 8.4758
_cell_angle_alpha 90.00
_cell_angle_beta 90.00
_cell_angle_gamma 120.00
loop_
_atom_site_label
_atom_site_fract_x
_atom_site_fract_y
_atom_site_fract_z
_atom_site_occupancy
Sr1 0.0000 0.0000 0.0000 1
Tb1 0.0000 0.0000 0.5000 1
Al1 0.3333 0.6667 0.2796 1
Ga1 0.3333 0.6667 0.7164 1
```

Largest 6 diffraction maxima, by intensity, 2θ from 10° to 80°:
- 31.51 deg, rel. 100.0, hkl 0 1 2
- 40.88 deg, rel. 42.2, hkl 1 1 0
- 52.51 deg, rel. 23.4, hkl 2 0 2
- 10.44 deg, rel. 22.4, hkl 0 0 1
- 68.61 deg, rel. 20.8, hkl 1 2 2
- 23.26 deg, rel. 19.2, hkl 1 0 0

=====

(4)
Diffraction record for Mg5Cd5Ga2. The powder X-ray diffraction pattern is computed, not measured: it uses a cell relaxed with GGA-PBE and copper Kα.

```
data_Mg5Cd5Ga2
_chemical_formula_sum 'Mg10 Cd10 Ga4'
_symmetry_space_group_name_H-M 'C 1 2/m 1'
_symmetry_Int_Tables_number 12
_cell_length_a 13.000
_cell_length_b 4.386
_cell_length_c 9.813
_cell_angle_alpha 90.00
_cell_angle_beta 114.57
_cell_angle_gamma 90.00
loop_
_symmetry_equiv_pos_as_xyz
'x,y,z'
'-x,-y,-z'
'-x,y,-z'
'x,-y,z'
'x+1/2,y+1/2,z'
'-x+1/2,-y+1/2,-z'
'-x+1/2,y+1/2,-z'
'x+1/2,-y+1/2,z'
loop_
_atom_site_label
_atom_site_fract_x
_atom_site_fract_y
_atom_site_fract_z
_atom_site_occupancy
Mg1 0.000 0.000 0.000 1
Mg2 0.078 0.000 0.738 1
Mg3 0.247 0.000 0.263 1
Cd1 0.000 0.500 0.500 1
Cd2 0.078 0.500 0.244 1
Cd3 0.172 0.500 0.001 1
Ga1 0.173 0.000 0.507 1
```

Largest 6 diffraction maxima, by intensity, 2θ from 10° to 80°:
- 35.74 deg, rel. 100.0, hkl 3 1 -3
- 35.05 deg, rel. 98.7, hkl 3 1 1
- 21.61 deg, rel. 38.5, hkl 1 1 0
- 40.43 deg, rel. 32.6, hkl 0 0 4
- 41.16 deg, rel. 31.7, hkl 0 2 0
- 41.70 deg, rel. 29.9, hkl 6 0 -2